Diffraction record for Er2Fe3Ge4. The powder XRD pattern is theoretical, not measured: it uses DFT lattice parameters and positions (PBE) and Cu Kα (λ = 1.5418 Å).
No peak broadening, texture or thermal motion is included.

Main lines, sorted by position (15 to 90 degrees two-theta):
| d_spacing | intensity | index |
| --- | --- | --- |
| 3.048 | 21 | 1 1 3 |
| 2.620 | 33 | 2 0 0 |
| 2.597 | 41 | 1 3 1 |
| 2.229 | 100 | 1 3 3 |
| 1.994 | 31 | 2 0 4 |
| 1.425 | 24 | 3 3 3 |

Crystal structure
```
data_Er2Fe3Ge4
_chemical_formula_sum 'Er8 Fe12 Ge16'
_symmetry_space_group_name_H-M 'F m m m'
_symmetry_Int_Tables_number 69
_symmetry_space_group_name_Hall '-F 2 2'
_cell_length_a 5.241
_cell_length_b 9.249
_cell_length_c 12.292
_cell_angle_alpha 90.00
_cell_angle_beta 90.00
_cell_angle_gamma 90.00
loop_
_atom_site_label
_atom_site_type_symbol
_atom_site_fract_x
_atom_site_fract_y
_atom_site_fract_z
Er1 Er 0.000 0.000 0.135
Fe1 Fe 0.000 0.000 0.500
Fe2 Fe 0.250 0.250 0.000
Ge1 Ge 0.000 0.168 0.342
```